For Te4MoO5F20, a structure optimized by DFT (GGA+U) gives the simulated X-ray diffraction stick pattern in this record (Cu Kα (λ = 1.5418 Å)).
Intensities are scaled so that the largest is 100.

Cell and atoms:
```
data_Te4MoO5F20
_chemical_formula_sum 'Te8 Mo2 O10 F40'
_cell_length_a 9.6517
_cell_length_b 10.3170
_cell_length_c 10.6257
_cell_angle_alpha 71.54
_cell_angle_beta 87.48
_cell_angle_gamma 81.52
_space_group_name_H-M_alt 'P -1'
_space_group_IT_number 2
loop_
_space_group_symop_operation_xyz
'x,y,z'
'-x,-y,-z'
loop_
_atom_site_label
_atom_site_fract_x
_atom_site_fract_y
_atom_site_fract_z
_atom_site_occupancy
Te1 0.1678 0.0339 0.1875 1
Te2 0.1820 0.5451 0.1961 1
Te3 0.2998 0.1822 0.6818 1
Te4 0.3014 0.6967 0.6808 1
Mo1 0.2791 0.8444 0.9468 1
O1 0.1660 0.7326 0.0814 1
O2 0.2232 0.7526 0.8273 1
O3 0.2500 0.9797 0.0446 1
O4 0.3187 0.9966 0.7958 1
O5 0.4425 0.7636 0.9912 1
F1 0.0144 0.9820 0.8649 1
F2 0.0188 0.5236 0.1217 1
F3 0.0756 0.6001 0.3260 1
F4 0.0810 0.0885 0.3265 1
F5 0.1249 0.6677 0.6397 1
F6 0.1386 0.1608 0.6036 1
F7 0.1411 0.2187 0.0821 1
F8 0.1843 0.8519 0.3006 1
F9 0.1899 0.2426 0.8074 1
F10 0.1950 0.3623 0.3057 1
F11 0.2677 0.8790 0.5677 1
F12 0.2850 0.3647 0.5712 1
F13 0.2909 0.4830 0.0706 1
F14 0.3367 0.5133 0.7896 1
F15 0.3413 0.0556 0.2430 1
F16 0.3455 0.5642 0.2731 1
F17 0.3767 0.6426 0.5375 1
F18 0.4103 0.1261 0.5549 1
F19 0.4607 0.2087 0.7575 1
F20 0.4808 0.7247 0.7183 1
```

Principal peaks in the range 2θ from 15° to 90°, low angle first:
(0 0 2), d = 5.037 Å, I = 63
(2 0 0), d = 4.773 Å, I = 100
(1 2 1), d = 4.738 Å, I = 48
(1 0 2), d = 4.455 Å, I = 64
(2 0 1), d = 4.313 Å, I = 92
(0 2 2), d = 4.213 Å, I = 55
(1 -2 0), d = 4.093 Å, I = 40
(1 2 -1), d = 3.776 Å, I = 94
(2 2 3), d = 2.831 Å, I = 44
(-2 2 4), d = 2.212 Å, I = 38



For Tl2MoO2F4, a structure optimized by DFT (GGA+U) gives the simulated X-ray diffraction stick pattern in this record (Cu Kα (λ = 1.5418 Å)).
Intensities are scaled so that the largest is 100.

Cell and atoms:
```
data_Tl2MoO2F4
_chemical_formula_sum 'Tl4 Mo2 O4 F8'
_cell_length_a 10.6196
_cell_length_b 6.1317
_cell_length_c 4.9967
_cell_angle_alpha 90.00
_cell_angle_beta 95.91
_cell_angle_gamma 90.00
_space_group_name_H-M_alt 'C 1 2/m 1'
_space_group_IT_number 12
loop_
_space_group_symop_operation_xyz
'x,y,z'
'-x,-y,-z'
'-x,y,-z'
'x,-y,z'
'x+1/2,y+1/2,z'
'-x+1/2,-y+1/2,-z'
'-x+1/2,y+1/2,-z'
'x+1/2,-y+1/2,z'
loop_
_atom_site_label
_atom_site_fract_x
_atom_site_fract_y
_atom_site_fract_z
_atom_site_occupancy
Tl1 0.1780 0.0000 0.3326 1
Mo1 0.0000 0.5000 0.0000 1
O1 0.1446 0.5000 0.2311 1
F1 0.0732 0.2705 0.7886 1
```

Principal peaks in the range 2θ from 15° to 90°, low angle first:
(2 0 -1), d = 3.821 Å, I = 60
(1 1 1), d = 3.536 Å, I = 100
(0 2 0), d = 3.066 Å, I = 31
(3 1 0), d = 3.053 Å, I = 63
(2 2 -1), d = 2.391 Å, I = 50
(1 1 -2), d = 2.296 Å, I = 34
(4 0 1), d = 2.238 Å, I = 20
(5 1 -1), d = 1.919 Å, I = 15
(1 3 1), d = 1.848 Å, I = 15
(2 2 2), d = 1.768 Å, I = 29



For Tc2MoOsF, a structure optimized by DFT (GGA+U) gives the simulated X-ray diffraction stick pattern in this record (Cu Kα (λ = 1.5418 Å)).
Intensities are scaled so that the largest is 100.

Cell and atoms:
```
data_Tc2MoOsF
_chemical_formula_sum 'Tc2 Mo1 Os1 F1'
_cell_length_a 4.8009
_cell_length_b 4.8009
_cell_length_c 3.9870
_cell_angle_alpha 90.00
_cell_angle_beta 90.00
_cell_angle_gamma 90.00
_space_group_name_H-M_alt 'P 4/m m m'
_space_group_IT_number 123
_space_group_name_Hall '-P 4 2'
loop_
_atom_site_label
_atom_site_fract_x
_atom_site_fract_y
_atom_site_fract_z
_atom_site_occupancy
Tc1 0.0000 0.5000 0.0000 1
Mo1 0.0000 0.0000 0.5000 1
Os1 0.5000 0.5000 0.0000 1
F1 0.5000 0.5000 0.5000 1
```

Principal peaks in the range 2θ from 15° to 90°, low angle first:
(1 0 0), d = 4.801 Å, I = 25
(0 0 1), d = 3.987 Å, I = 50
(1 0 1), d = 3.067 Å, I = 100
(2 0 0), d = 2.400 Å, I = 94
(2 0 1), d = 2.056 Å, I = 34
(0 0 2), d = 1.994 Å, I = 27
(2 1 1), d = 1.890 Å, I = 51
(2 2 0), d = 1.697 Å, I = 32
(2 0 2), d = 1.534 Å, I = 45
(2 2 2), d = 1.292 Å, I = 25



For Rb2MoPF6, a structure optimized by DFT (GGA+U) gives the simulated X-ray diffraction stick pattern in this record (Cu Kα (λ = 1.5418 Å)).
Intensities are scaled so that the largest is 100.

Cell and atoms:
```
data_Rb2MoPF6
_chemical_formula_sum 'Rb4 Mo2 P2 F12'
_cell_length_a 5.9017
_cell_length_b 5.9017
_cell_length_c 11.3687
_cell_angle_alpha 90.00
_cell_angle_beta 90.00
_cell_angle_gamma 90.00
_space_group_name_H-M_alt 'I 4/m m m'
_space_group_IT_number 139
_space_group_name_Hall '-I 4 2'
loop_
_atom_site_label
_atom_site_fract_x
_atom_site_fract_y
_atom_site_fract_z
_atom_site_occupancy
Rb1 0.0000 0.5000 0.2500 1
Mo1 0.0000 0.0000 0.0000 1
P1 0.0000 0.0000 0.5000 1
F1 0.0000 0.0000 0.1832 1
F2 0.2482 0.2482 0.5000 1
```

Principal peaks in the range 2θ from 15° to 90°, low angle first:
(1 0 1), d = 5.238 Å, I = 25
(1 1 2), d = 3.364 Å, I = 100
(2 0 0), d = 2.951 Å, I = 32
(0 0 4), d = 2.842 Å, I = 30
(2 2 0), d = 2.087 Å, I = 29
(2 0 4), d = 2.047 Å, I = 16
(3 1 2), d = 1.773 Å, I = 31
(1 1 6), d = 1.725 Å, I = 24
(2 2 4), d = 1.682 Å, I = 23
(3 1 6), d = 1.330 Å, I = 18



For MoPb4F10, a structure optimized by DFT (GGA+U) gives the simulated X-ray diffraction stick pattern in this record (Cu Kα (λ = 1.5418 Å)).
Intensities are scaled so that the largest is 100.

Cell and atoms:
```
data_MoPb4F10
_chemical_formula_sum 'Mo2 Pb8 F20'
_cell_length_a 9.3225
_cell_length_b 9.3225
_cell_length_c 5.9509
_cell_angle_alpha 90.00
_cell_angle_beta 90.00
_cell_angle_gamma 90.00
_space_group_name_H-M_alt 'I 4/m'
_space_group_IT_number 87
_space_group_name_Hall '-I 4'
loop_
_atom_site_label
_atom_site_fract_x
_atom_site_fract_y
_atom_site_fract_z
_atom_site_occupancy
Mo1 0.0000 0.0000 0.0000 1
Pb1 0.1012 0.7027 0.5000 1
F1 0.0000 0.5000 0.2500 1
F2 0.0956 0.1907 0.2431 1
```

Principal peaks in the range 2θ from 15° to 90°, low angle first:
(1 2 1), d = 3.415 Å, I = 100
(0 0 2), d = 2.975 Å, I = 11
(3 1 0), d = 2.948 Å, I = 21
(3 1 2), d = 2.094 Å, I = 38
(2 4 0), d = 2.085 Å, I = 19
(1 2 3), d = 1.791 Å, I = 17
(5 0 1), d = 1.779 Å, I = 32
(2 4 2), d = 1.707 Å, I = 9
(5 0 3), d = 1.359 Å, I = 13
(5 5 2), d = 1.205 Å, I = 12



For SrMoPb2F, a structure optimized by DFT (GGA+U) gives the simulated X-ray diffraction stick pattern in this record (Cu Kα (λ = 1.5418 Å)).
Intensities are scaled so that the largest is 100.

Cell and atoms:
```
data_SrMoPb2F
_chemical_formula_sum 'Sr1 Mo1 Pb2 F1'
_cell_length_a 5.3548
_cell_length_b 5.3548
_cell_length_c 6.4958
_cell_angle_alpha 90.00
_cell_angle_beta 90.00
_cell_angle_gamma 90.00
_space_group_name_H-M_alt 'P 4/m m m'
_space_group_IT_number 123
_space_group_name_Hall '-P 4 2'
loop_
_atom_site_label
_atom_site_fract_x
_atom_site_fract_y
_atom_site_fract_z
_atom_site_occupancy
Sr1 0.0000 0.0000 0.0000 1
Mo1 0.0000 0.0000 0.5000 1
Pb1 0.0000 0.5000 0.5000 1
F1 0.5000 0.5000 0.0000 1
```

Principal peaks in the range 2θ from 15° to 90°, low angle first:
(1 0 0), d = 5.355 Å, I = 27
(1 1 1), d = 3.271 Å, I = 100
(0 0 2), d = 3.248 Å, I = 53
(2 0 0), d = 2.677 Å, I = 64
(2 0 1), d = 2.475 Å, I = 44
(2 0 2), d = 2.066 Å, I = 61
(2 2 0), d = 1.893 Å, I = 23
(1 1 3), d = 1.880 Å, I = 22
(3 1 1), d = 1.639 Å, I = 28
(2 2 2), d = 1.636 Å, I = 29



For PmMo2F11, a structure optimized by DFT (GGA+U) gives the simulated X-ray diffraction stick pattern in this record (Cu Kα (λ = 1.5418 Å)).
Intensities are scaled so that the largest is 100.

Cell and atoms:
```
data_PmMo2F11
_chemical_formula_sum 'Pm4 Mo8 F44'
_cell_length_a 7.7298
_cell_length_b 9.9346
_cell_length_c 10.9755
_cell_angle_alpha 90.00
_cell_angle_beta 90.00
_cell_angle_gamma 90.00
_space_group_name_H-M_alt 'I b a m'
_space_group_IT_number 72
_space_group_name_Hall '-I 2 2c'
loop_
_atom_site_label
_atom_site_fract_x
_atom_site_fract_y
_atom_site_fract_z
_atom_site_occupancy
Pm1 0.0000 0.0000 0.2500 1
Mo1 0.1395 0.3196 0.0000 1
F1 0.0000 0.5000 0.0000 1
F2 0.0951 0.1873 0.1377 1
F3 0.1327 0.2836 0.5000 1
F4 0.2370 0.0714 0.3701 1
```

Principal peaks in the range 2θ from 15° to 90°, low angle first:
(1 1 2), d = 4.080 Å, I = 100
(1 2 1), d = 3.905 Å, I = 27
(0 2 2), d = 3.683 Å, I = 58
(2 1 1), d = 3.422 Å, I = 38
(2 0 2), d = 3.160 Å, I = 13
(1 3 0), d = 3.046 Å, I = 25
(1 3 4), d = 2.039 Å, I = 47
(3 3 2), d = 1.907 Å, I = 28
(1 5 2), d = 1.816 Å, I = 17
(4 2 0), d = 1.801 Å, I = 15



For PrMo2F11, a structure optimized by DFT (GGA+U) gives the simulated X-ray diffraction stick pattern in this record (Cu Kα (λ = 1.5418 Å)).
Intensities are scaled so that the largest is 100.

Cell and atoms:
```
data_PrMo2F11
_chemical_formula_sum 'Pr4 Mo8 F44'
_cell_length_a 7.7460
_cell_length_b 9.9882
_cell_length_c 11.1351
_cell_angle_alpha 90.00
_cell_angle_beta 90.00
_cell_angle_gamma 90.00
_space_group_name_H-M_alt 'I b a m'
_space_group_IT_number 72
_space_group_name_Hall '-I 2 2c'
loop_
_atom_site_label
_atom_site_fract_x
_atom_site_fract_y
_atom_site_fract_z
_atom_site_occupancy
Pr1 0.0000 0.0000 0.2500 1
Mo1 0.1384 0.3200 0.0000 1
F1 0.0000 0.5000 0.0000 1
F2 0.0950 0.1893 0.1365 1
F3 0.1334 0.2831 0.5000 1
F4 0.2391 0.0717 0.3716 1
```

Principal peaks in the range 2θ from 15° to 90°, low angle first:
(1 1 2), d = 4.119 Å, I = 100
(1 2 1), d = 3.928 Å, I = 28
(0 2 2), d = 3.718 Å, I = 59
(2 1 1), d = 3.435 Å, I = 40
(1 3 0), d = 3.059 Å, I = 24
(0 0 4), d = 2.783 Å, I = 15
(1 3 4), d = 2.059 Å, I = 48
(3 3 2), d = 1.916 Å, I = 28
(4 0 2), d = 1.828 Å, I = 29
(3 3 6), d = 1.374 Å, I = 17



For MoPtF3, a structure optimized by DFT (GGA+U) gives the simulated X-ray diffraction stick pattern in this record (Cu Kα (λ = 1.5418 Å)).
Intensities are scaled so that the largest is 100.

Cell and atoms:
```
data_MoPtF3
_chemical_formula_sum 'Mo1 Pt1 F3'
_cell_length_a 4.2517
_cell_length_b 4.2517
_cell_length_c 4.2517
_cell_angle_alpha 90.00
_cell_angle_beta 90.00
_cell_angle_gamma 90.00
_space_group_name_H-M_alt 'P m -3 m'
_space_group_IT_number 221
_space_group_name_Hall '-P 4 2 3'
loop_
_atom_site_label
_atom_site_fract_x
_atom_site_fract_y
_atom_site_fract_z
_atom_site_occupancy
Mo1 0.0000 0.0000 0.0000 1
Pt1 0.5000 0.5000 0.5000 1
F1 0.0000 0.0000 0.5000 1
```

Principal peaks in the range 2θ from 15° to 90°, low angle first:
(1 0 0), d = 4.252 Å, I = 8
(1 1 0), d = 3.006 Å, I = 100
(1 1 1), d = 2.455 Å, I = 12
(2 0 0), d = 2.126 Å, I = 31
(2 1 0), d = 1.901 Å, I = 5
(2 1 1), d = 1.736 Å, I = 41
(2 2 0), d = 1.503 Å, I = 20
(3 1 0), d = 1.345 Å, I = 18
(2 2 2), d = 1.227 Å, I = 7
(3 2 1), d = 1.136 Å, I = 22



For MoPt3F, a structure optimized by DFT (GGA+U) gives the simulated X-ray diffraction stick pattern in this record (Cu Kα (λ = 1.5418 Å)).
Intensities are scaled so that the largest is 100.

Cell and atoms:
```
data_MoPt3F
_chemical_formula_sum 'Mo1 Pt3 F1'
_cell_length_a 4.3974
_cell_length_b 4.3974
_cell_length_c 4.3974
_cell_angle_alpha 90.00
_cell_angle_beta 90.00
_cell_angle_gamma 90.00
_space_group_name_H-M_alt 'P m -3 m'
_space_group_IT_number 221
_space_group_name_Hall '-P 4 2 3'
loop_
_atom_site_label
_atom_site_fract_x
_atom_site_fract_y
_atom_site_fract_z
_atom_site_occupancy
Mo1 0.0000 0.0000 0.0000 1
Pt1 0.0000 0.5000 0.5000 1
F1 0.5000 0.5000 0.5000 1
```

Principal peaks in the range 2θ from 15° to 90°, low angle first:
(1 0 0), d = 4.397 Å, I = 9
(1 1 0), d = 3.109 Å, I = 3
(1 1 1), d = 2.539 Å, I = 100
(2 0 0), d = 2.199 Å, I = 56
(2 1 0), d = 1.967 Å, I = 4
(2 2 0), d = 1.555 Å, I = 38
(3 0 0), d = 1.466 Å, I = 2
(3 1 1), d = 1.326 Å, I = 40
(2 2 2), d = 1.269 Å, I = 13
(4 0 0), d = 1.099 Å, I = 6



For Rb3MoF8, a structure optimized by DFT (GGA+U) gives the simulated X-ray diffraction stick pattern in this record (Cu Kα (λ = 1.5418 Å)).
Intensities are scaled so that the largest is 100.

Cell and atoms:
```
data_Rb3MoF8
_chemical_formula_sum 'Rb3 Mo1 F8'
_cell_length_a 6.0653
_cell_length_b 6.0653
_cell_length_c 6.0653
_cell_angle_alpha 90.00
_cell_angle_beta 90.00
_cell_angle_gamma 90.00
_space_group_name_H-M_alt 'P m -3 m'
_space_group_IT_number 221
_space_group_name_Hall '-P 4 2 3'
loop_
_atom_site_label
_atom_site_fract_x
_atom_site_fract_y
_atom_site_fract_z
_atom_site_occupancy
Rb1 0.0000 0.0000 0.5000 1
Mo1 0.5000 0.5000 0.5000 1
F1 0.3029 0.3029 0.3029 1
```

Principal peaks in the range 2θ from 15° to 90°, low angle first:
(1 1 1), d = 3.502 Å, I = 100
(2 0 0), d = 3.033 Å, I = 20
(2 2 0), d = 2.144 Å, I = 58
(3 1 1), d = 1.829 Å, I = 41
(2 2 2), d = 1.751 Å, I = 8
(4 0 0), d = 1.516 Å, I = 7
(3 3 1), d = 1.391 Å, I = 21
(4 2 0), d = 1.356 Å, I = 14
(4 2 2), d = 1.238 Å, I = 13
(5 1 1), d = 1.167 Å, I = 13